# AcNbCoO6
Calculated powder XRD pattern, Cu Kα (weighted mean of Kα1 and Kα2). Input: DFT lattice parameters and positions (GGA+U).
Kinematic intensities with the Lorentz-polarization factor, no thermal factor.

Top 10 peaks for 10° ≤ 2θ ≤ 90°, by angle:
- 2θ = 19.79°, intensity 22.6
- 2θ = 25.84°, intensity 100.0
- 2θ = 25.91°, intensity 49.5
- 2θ = 33.33°, intensity 11.9
- 2θ = 34.62°, intensity 41.8
- 2θ = 43.77°, intensity 22.3
- 2θ = 48.77°, intensity 13.6
- 2θ = 48.91°, intensity 25.8
- 2θ = 56.98°, intensity 22.4
- 2θ = 62.05°, intensity 13.1

Cell and atoms:
```
9
Lattice="2.593 -4.483 0.000 2.593 4.483 0.000 -0.028 0.000 5.376" Properties=species:S:1:pos:R:3 pbc="T T T"
Ac 0.000 0.000 0.000
Nb 2.579 -1.494 2.688
Co 2.579 1.506 2.688
O 1.030 1.677 3.795
O 1.658 2.738 1.590
O 3.500 2.738 3.786
O 1.983 0.069 1.579
O 3.175 0.069 3.798
O 4.128 1.677 1.581
```